Record 1
The following is a simulated PXRD pattern of SrCo2P2. It was derived from the GGA-PBE geometry in the Materials Project, using Cu Kα, 1.54184 Å.

Peak list (10 most intense, 2θ from 10° to 90°, in order of rising 2θ)
15.27 deg, I = 220; 24.72 deg, I = 198; 30.82 deg, I = 295; 33.09 deg, I = 788; 36.95 deg, I = 1000; 48.02 deg, I = 456; 58.15 deg, I = 184; 58.89 deg, I = 445; 59.56 deg, I = 272; 82.13 deg, I = 177

Atomic structure:
```
SrCo2P2
1.0
3.7893 0.0000 0.0000
0.0000 3.7893 0.0000
0.0000 0.0000 11.6043
Sr Co P
2 4 4
Direct
0.0000 0.0000 0.0000
0.5000 0.5000 0.5000
0.0000 0.5000 0.2500
0.0000 0.5000 0.7500
0.5000 0.0000 0.2500
0.5000 0.0000 0.7500
0.0000 0.0000 0.3489
0.0000 0.0000 0.6511
0.5000 0.5000 0.1511
0.5000 0.5000 0.8489
```

---

Record 2
The following is a simulated PXRD pattern of Tb2Si3Pt3. It was derived from the GGA-PBE geometry in the Materials Project, using Cu Kα, 1.54184 Å.

Peak list (10 most intense, 2θ from 10° to 90°, in order of rising 2θ)
12.82 deg, I = 553; 21.44 deg, I = 258; 32.04 deg, I = 1000; 34.63 deg, I = 578; 38.88 deg, I = 235; 45.94 deg, I = 370; 47.90 deg, I = 670; 58.79 deg, I = 315; 77.67 deg, I = 186; 86.49 deg, I = 221

Atomic structure:
```
Tb2Si3Pt3
1.0
2.7935 0.0000 0.0000
0.0000 2.7935 0.0000
0.0000 0.0000 20.7205
Tb Si Pt
2 3 3
Direct
0.0000 0.0000 0.2481
0.0000 0.0000 0.7519
0.0000 0.0000 0.0000
0.0000 0.0000 0.3870
0.0000 0.0000 0.6130
0.0000 0.0000 0.1150
0.0000 0.0000 0.5000
0.0000 0.0000 0.8850
```